# 1
CaYCu4: simulated X-ray powder pattern (CuKα), based on a crystal structure in Alexandria, relaxed with PBE.
Neutral-atom scattering factors, no anomalous dispersion.

The 10 most intense peaks (2θ from 10° to 90°), low angle first:
| Position (°2θ) | I (rel.) |
| --- | --- |
| 16.94 | 12 |
| 24.03 | 16 |
| 34.27 | 48 |
| 34.51 | 100 |
| 42.53 | 64 |
| 43.14 | 29 |
| 49.21 | 18 |
| 56.21 | 21 |
| 67.03 | 27 |
| 67.48 | 13 |

Crystal structure
```
CaYCu4
1.0
4.194 0.000 0.000
0.000 7.396 0.000
0.000 0.000 7.406
Ca Y Cu
2 2 8
Direct
0.000 0.000 0.000 Ca
0.500 0.500 0.500 Ca
0.000 0.000 0.500 Y
0.500 0.500 0.000 Y
0.000 0.334 0.240 Cu
0.000 0.334 0.760 Cu
0.000 0.666 0.240 Cu
0.000 0.666 0.760 Cu
0.500 0.166 0.260 Cu
0.500 0.166 0.740 Cu
0.500 0.834 0.260 Cu
0.500 0.834 0.740 Cu
```


# 2
PuZr3Ru4: simulated X-ray powder pattern (CuKα), based on a crystal structure in Alexandria, relaxed with PBE.
Neutral-atom scattering factors, no anomalous dispersion.

The 10 most intense peaks (2θ from 10° to 90°), low angle first:
| Position (°2θ) | I (rel.) |
| --- | --- |
| 21.28 | 4 |
| 38.15 | 20 |
| 38.61 | 100 |
| 55.45 | 14 |
| 55.99 | 7 |
| 69.25 | 14 |
| 69.78 | 7 |
| 69.93 | 14 |
| 70.12 | 7 |
| 82.74 | 9 |

Crystal structure
```
PuZr3Ru4
1.0
3.285 0.000 0.000
0.000 4.657 0.000
0.000 0.000 9.435
Pu Zr Ru
1 3 4
Direct
0.000 0.000 0.000 Pu
0.000 0.000 0.500 Zr
0.000 0.500 0.254 Zr
0.000 0.500 0.746 Zr
0.500 0.000 0.259 Ru
0.500 0.000 0.741 Ru
0.500 0.500 0.000 Ru
0.500 0.500 0.500 Ru
```


# 3
RbPt8: simulated X-ray powder pattern (CuKα), based on a crystal structure in Alexandria, relaxed with PBE.
Neutral-atom scattering factors, no anomalous dispersion.

The 10 most intense peaks (2θ from 10° to 90°), low angle first:
| Position (°2θ) | I (rel.) |
| --- | --- |
| 11.74 | 7 |
| 16.63 | 6 |
| 35.73 | 74 |
| 37.74 | 2 |
| 41.49 | 100 |
| 51.43 | 26 |
| 68.13 | 51 |
| 75.70 | 8 |
| 79.37 | 15 |
| 86.64 | 12 |

Crystal structure
```
RbPt8
1.0
-5.330 5.330 1.377
5.330 -5.330 1.377
5.330 5.330 -1.377
Rb Pt
1 8
Direct
0.000 0.000 0.000 Rb
0.000 0.332 0.332 Pt
0.000 0.668 0.668 Pt
0.325 0.325 0.651 Pt
0.325 0.675 0.000 Pt
0.332 0.000 0.332 Pt
0.668 0.000 0.668 Pt
0.675 0.325 0.000 Pt
0.675 0.675 0.349 Pt
```


# 4
KRb2AuF6: simulated X-ray powder pattern (CuKα), based on a crystal structure in Alexandria, relaxed with PBE.
Neutral-atom scattering factors, no anomalous dispersion.

The 10 most intense peaks (2θ from 10° to 90°), low angle first:
| Position (°2θ) | I (rel.) |
| --- | --- |
| 14.10 | 100 |
| 16.81 | 55 |
| 18.70 | 28 |
| 23.13 | 23 |
| 24.90 | 23 |
| 28.13 | 97 |
| 28.73 | 31 |
| 31.60 | 61 |
| 36.73 | 25 |
| 58.17 | 23 |

Crystal structure
```
KRb2AuF6
1.0
3.172 1.831 12.558
-3.172 1.831 12.558
0.000 -3.663 12.558
K Rb Au F
2 4 2 12
Direct
0.088 0.088 0.088 K
0.912 0.912 0.912 K
0.194 0.194 0.194 Rb
0.357 0.357 0.357 Rb
0.643 0.643 0.643 Rb
0.806 0.806 0.806 Rb
0.000 0.000 0.000 Au
0.500 0.500 0.500 Au
0.125 0.125 0.649 F
0.125 0.649 0.125 F
0.207 0.695 0.695 F
0.305 0.305 0.793 F
0.305 0.793 0.305 F
0.351 0.875 0.875 F
0.649 0.125 0.125 F
0.695 0.207 0.695 F
0.695 0.695 0.207 F
0.793 0.305 0.305 F
0.875 0.351 0.875 F
0.875 0.875 0.351 F
```